Entry 1:
# Cs2TbCuCl6
Simulated powder diffraction line list, Cu Kα, 1.54184 Å. Input: the GGA-PBE geometry in the Materials Project.
Kinematic intensities with the Lorentz-polarization factor, no thermal factor.

Cell and atoms:
Cell lengths 7.4660, 7.4660, 7.4660 Å; angles 60.00, 60.00, 60.00 degrees
Atoms (fractional coordinates):
Cs (0.2500, 0.2500, 0.2500)
Cs (0.7500, 0.7500, 0.7500)
Tb (0.0000, 0.0000, 0.0000)
Cu (0.5000, 0.5000, 0.5000)
Cl (0.2526, 0.2526, 0.7474)
Cl (0.2526, 0.7474, 0.2526)
Cl (0.2526, 0.7474, 0.7474)
Cl (0.7474, 0.2526, 0.2526)
Cl (0.7474, 0.2526, 0.7474)
Cl (0.7474, 0.7474, 0.2526)

The 10 most intense peaks (10° ≤ 2θ ≤ 80°), most intense first:
| two_theta | I_rel |
| --- | --- |
| 23.84 | 100 |
| 33.96 | 58 |
| 41.92 | 46 |
| 48.79 | 40 |
| 66.24 | 24 |
| 55.00 | 21 |
| 29.30 | 15 |
| 60.78 | 13 |
| 76.57 | 12 |
| 14.53 | 9 |

Entry 2:
# Cs2TlCuCl6
Simulated powder diffraction line list, Cu Kα, 1.54184 Å. Input: the GGA-PBE geometry in the Materials Project.
Kinematic intensities with the Lorentz-polarization factor, no thermal factor.

Cell and atoms:
Cell lengths 7.4204, 7.4204, 7.4204 Å; angles 60.00, 60.00, 60.00 degrees
Atoms (fractional coordinates):
Cs (0.2500, 0.2500, 0.2500)
Cs (0.7500, 0.7500, 0.7500)
Tl (0.0000, 0.0000, 0.0000)
Cu (0.5000, 0.5000, 0.5000)
Cl (0.2635, 0.2635, 0.7365)
Cl (0.2635, 0.7365, 0.2635)
Cl (0.2635, 0.7365, 0.7365)
Cl (0.7365, 0.2635, 0.2635)
Cl (0.7365, 0.2635, 0.7365)
Cl (0.7365, 0.7365, 0.2635)

The 10 most intense peaks (10° ≤ 2θ ≤ 80°), most intense first:
| two_theta | I_rel |
| --- | --- |
| 23.98 | 100 |
| 34.18 | 53 |
| 42.19 | 45 |
| 49.11 | 36 |
| 66.70 | 24 |
| 55.37 | 22 |
| 61.19 | 12 |
| 77.12 | 12 |
| 28.20 | 12 |
| 14.62 | 12 |